No. 1
As: calculated powder diffractogram (Cu Kα X-rays), based on a structure optimized by DFT (PBE).

Structure:
```
As
1.0
3.6756 0.0000 0.0000
0.0000 14.0411 0.0000
0.0000 0.0000 5.8350
As
12
Direct
0.0000 0.0000 0.0000
0.0000 0.1813 0.5192
0.0000 0.1982 0.9474
0.0000 0.5000 0.2101
0.0000 0.8018 0.9474
0.0000 0.8187 0.5192
0.5000 0.0000 0.7101
0.5000 0.3018 0.4474
0.5000 0.3187 0.0192
0.5000 0.5000 0.5000
0.5000 0.6813 0.0192
0.5000 0.6982 0.4474
```

Most intense lines, 5° ≤ 2θ ≤ 70°, sorted by position:
16.5°, I 70
30.6°, I 53
30.9°, I 100
31.5°, I 56
33.3°, I 45
40.0°, I 82
40.4°, I 50
51.6°, I 100

---

No. 2
Sr3CuPd8: calculated powder diffractogram (Cu Kα X-rays), based on a structure optimized by DFT (PBE).

Structure:
```
Sr3CuPd8
1.0
2.7743 1.6017 8.9912
-2.7743 1.6017 8.9912
0.0000 -3.2035 8.9912
Sr Cu Pd
3 1 8
Direct
0.0000 0.0000 0.0000
0.1302 0.1302 0.1302
0.6111 0.6111 0.6111
0.4779 0.4779 0.4779
0.0610 0.0610 0.5611
0.0610 0.5611 0.0610
0.0633 0.5632 0.5632
0.3120 0.3120 0.3120
0.5611 0.0610 0.0610
0.5632 0.0633 0.5632
0.5632 0.5632 0.0633
0.8127 0.8127 0.8127
```

Most intense lines, 5° ≤ 2θ ≤ 70°, sorted by position:
19.6°, I 18
38.1°, I 100
38.3°, I 26
39.8°, I 48
40.1°, I 17
46.4°, I 15
61.5°, I 18
67.5°, I 20

---

No. 3
NaTaSb: calculated powder diffractogram (Cu Kα X-rays), based on a structure optimized by DFT (PBE).

Structure:
```
NaTaSb
1.0
4.1761 0.0000 0.0000
0.0000 4.1761 0.0000
0.0000 0.0000 8.2036
Na Ta Sb
2 2 2
Direct
0.2500 0.2500 0.1441
0.7500 0.7500 0.8559
0.2500 0.7500 0.5000
0.7500 0.2500 0.5000
0.2500 0.2500 0.7416
0.7500 0.7500 0.2584
```

Most intense lines, 5° ≤ 2θ ≤ 70°, sorted by position:
10.8°, I 100
23.9°, I 25
32.2°, I 39
37.5°, I 68
43.3°, I 26
44.8°, I 13
45.2°, I 14
63.6°, I 12